Entry 1:
Starting from a structure optimized by DFT (GGA-PBE), the powder diffractogram of Ac2Pm4Tl3H2 was simulated for a wavelength of 1.5418 Å.

Largest 10 diffraction maxima, sorted by position, 2θ from 10° to 80°:
index	2θ (°)	intensity
1 0 1	18.16	15
1 1 2	26.25	43
1 0 7	30.10	38
1 1 6	32.84	100
2 0 0	36.11	61
2 1 7	47.70	22
2 2 0	51.99	23
2 0 12	56.43	14
2 1 13	62.59	13
3 1 6	62.88	32

Cell and atoms:
```
data_Ac2Pm4Tl3H2
_space_group_name_H-M_alt 'I 4/m m m'
_space_group_IT_number 139
_space_group_name_Hall '-I 4 2'
_cell_length_a 4.9748
_cell_length_b 4.9748
_cell_length_c 25.8994
_cell_angle_alpha 90.00
_cell_angle_beta 90.00
_cell_angle_gamma 90.00
loop_
_atom_site_label
_atom_site_type_symbol
_atom_site_fract_x
_atom_site_fract_y
_atom_site_fract_z
_atom_site_occupancy
Ac1 Ac 0.0000 0.0000 0.1982 1
Pm1 Pm 0.0000 0.5000 0.0806 1
Tl1 Tl 0.0000 0.0000 0.3334 1
Tl2 Tl 0.0000 0.0000 0.5000 1
H1 H 0.0000 0.0000 0.0964 1
```

Entry 2:
Starting from a structure optimized by DFT (GGA-PBE), the powder diffractogram of K2UCuS4 was simulated for a wavelength of 1.5418 Å.

Largest 10 diffraction maxima, sorted by position, 2θ from 10° to 80°:
index	2θ (°)	intensity
1 0 1	15.98	95
1 1 0	17.36	20
2 0 0	24.65	29
1 1 2	27.00	100
2 1 1	29.51	30
2 2 0	35.14	32
1 2 3	41.97	20
1 3 2	44.87	46
3 2 1	46.53	18
2 0 4	49.06	26

Cell and atoms:
```
data_K2UCuS4
_space_group_name_H-M_alt 'I -4'
_space_group_IT_number 82
_cell_length_a 7.2227
_cell_length_b 7.2227
_cell_length_c 8.6609
_cell_angle_alpha 90.00
_cell_angle_beta 90.00
_cell_angle_gamma 90.00
loop_
_space_group_symop_operation_xyz
'x,y,z'
'y,-x,-z'
'-x,-y,z'
'-y,x,-z'
'x+1/2,y+1/2,z+1/2'
'y+1/2,-x+1/2,-z+1/2'
'-x+1/2,-y+1/2,z+1/2'
'-y+1/2,x+1/2,-z+1/2'
loop_
_atom_site_label
_atom_site_type_symbol
_atom_site_fract_x
_atom_site_fract_y
_atom_site_fract_z
_atom_site_occupancy
K1 K 0.0000 0.0000 0.0000 1
K2 K 0.0000 0.5000 0.2500 1
U1 U 0.0000 0.5000 0.7500 1
Cu1 Cu 0.0000 0.0000 0.5000 1
S1 S 0.1682 0.2436 0.6110 1
```

Entry 3:
Starting from a structure optimized by DFT (GGA-PBE), the powder diffractogram of LaSm2Y4Tm2 was simulated for a wavelength of 1.5418 Å.

Largest 10 diffraction maxima, sorted by position, 2θ from 10° to 80°:
index	2θ (°)	intensity
0 0 1	11.63	3
2 0 -1	13.98	3
1 1 -1	20.86	2
3 1 -1	25.51	2
3 1 1	30.51	100
0 2 0	35.38	50
0 2 3	50.90	36
3 3 1	60.52	42
6 2 2	63.51	12
0 4 0	74.85	6

Cell and atoms:
```
data_LaSm2Y4Tm2
_space_group_name_H-M_alt 'C 1 2/m 1'
_space_group_IT_number 12
_cell_length_a 15.2282
_cell_length_b 5.0725
_cell_length_c 8.0241
_cell_angle_alpha 90.00
_cell_angle_beta 108.47
_cell_angle_gamma 90.00
loop_
_space_group_symop_operation_xyz
'x,y,z'
'-x,-y,-z'
'-x,y,-z'
'x,-y,z'
'x+1/2,y+1/2,z'
'-x+1/2,-y+1/2,-z'
'-x+1/2,y+1/2,-z'
'x+1/2,-y+1/2,z'
loop_
_atom_site_label
_atom_site_type_symbol
_atom_site_fract_x
_atom_site_fract_y
_atom_site_fract_z
_atom_site_occupancy
La1 La 0.0000 0.0000 0.0000 1
Sm1 Sm 0.1114 0.0000 0.6660 1
Y1 Y 0.0560 0.5000 0.3338 1
Y2 Y 0.2222 0.0000 0.3317 1
Tm1 Tm 0.1692 0.5000 0.0000 1
```

Entry 4:
Starting from a structure optimized by DFT (GGA-PBE), the powder diffractogram of Ce3Sb2H2 was simulated for a wavelength of 1.5418 Å.

Largest 10 diffraction maxima, sorted by position, 2θ from 10° to 80°:
index	2θ (°)	intensity
0 2 2	24.66	21
0 4 2	29.08	19
1 5 0	31.16	87
1 1 2	32.24	100
1 5 1	33.30	23
0 6 2	35.32	44
2 0 0	44.51	24
1 7 2	45.05	17
1 5 4	57.49	20
2 6 2	58.06	21

Cell and atoms:
```
data_Ce3Sb2H2
_space_group_name_H-M_alt 'C m c m'
_space_group_IT_number 63
_space_group_name_Hall '-C 2c 2'
_cell_length_a 4.0707
_cell_length_b 20.2346
_cell_length_c 7.7301
_cell_angle_alpha 90.00
_cell_angle_beta 90.00
_cell_angle_gamma 90.00
loop_
_atom_site_label
_atom_site_type_symbol
_atom_site_fract_x
_atom_site_fract_y
_atom_site_fract_z
_atom_site_occupancy
Ce1 Ce 0.0000 0.0833 0.0375 1
Ce2 Ce 0.0000 0.2984 0.2500 1
Sb1 Sb 0.0000 0.3240 0.7500 1
Sb2 Sb 0.0000 0.4719 0.2500 1
H1 H 0.0000 0.1796 0.6078 1
```

Entry 5:
Starting from a structure optimized by DFT (GGA-PBE), the powder diffractogram of K2NaTiF6 was simulated for a wavelength of 1.5418 Å.

Largest 10 diffraction maxima, sorted by position, 2θ from 10° to 80°:
index	2θ (°)	intensity
1 0 0	18.07	25
0 2 0	29.72	100
0 2 2	36.62	36
0 0 4	42.45	29
2 2 -2	42.58	54
2 0 2	52.72	26
3 1 -5	52.81	15
2 2 -6	61.70	33
2 4 -2	70.06	10
0 4 4	77.82	8

Cell and atoms:
```
data_K2NaTiF6
_space_group_name_H-M_alt 'P 1 21/c 1'
_space_group_IT_number 14
_cell_length_a 6.0007
_cell_length_b 6.0108
_cell_length_c 10.4148
_cell_angle_alpha 90.00
_cell_angle_beta 125.14
_cell_angle_gamma 90.00
loop_
_space_group_symop_operation_xyz
'x,y,z'
'-x,-y,-z'
'-x,y+1/2,-z+1/2'
'x,-y+1/2,z+1/2'
loop_
_atom_site_label
_atom_site_type_symbol
_atom_site_fract_x
_atom_site_fract_y
_atom_site_fract_z
_atom_site_occupancy
K1 K 0.2477 0.0205 0.2503 1
Na1 Na 0.5000 0.0000 0.0000 1
Ti1 Ti 0.0000 0.0000 0.5000 1
F1 F 0.1789 0.2385 0.9772 1
F2 F 0.2416 0.7035 0.9803 1
F3 F 0.2738 0.0029 0.7324 1
```

Entry 6:
Starting from a structure optimized by DFT (GGA-PBE), the powder diffractogram of Zr3Hg5 was simulated for a wavelength of 1.5418 Å.

Largest 10 diffraction maxima, sorted by position, 2θ from 10° to 80°:
index	2θ (°)	intensity
2 0 0	20.10	6
2 2 1	34.99	100
0 4 0	40.07	17
0 0 2	40.90	32
0 4 2	58.59	23
4 0 2	59.21	11
2 6 1	69.53	14
6 2 1	70.61	12
2 2 3	70.72	13
4 4 2	73.92	11

Cell and atoms:
```
data_Zr3Hg5
_space_group_name_H-M_alt 'C m m m'
_space_group_IT_number 65
_space_group_name_Hall '-C 2 2'
_cell_length_a 8.8356
_cell_length_b 9.0002
_cell_length_c 4.4092
_cell_angle_alpha 90.00
_cell_angle_beta 90.00
_cell_angle_gamma 90.00
loop_
_atom_site_label
_atom_site_type_symbol
_atom_site_fract_x
_atom_site_fract_y
_atom_site_fract_z
_atom_site_occupancy
Zr1 Zr 0.0000 0.0000 0.0000 1
Zr2 Zr 0.0000 0.2586 0.5000 1
Hg1 Hg 0.0000 0.5000 0.0000 1
Hg2 Hg 0.2374 0.0000 0.5000 1
Hg3 Hg 0.2500 0.2500 0.0000 1
```

Entry 7:
Starting from a structure optimized by DFT (GGA-PBE), the powder diffractogram of Pm4Si3Pt was simulated for a wavelength of 1.5418 Å.

Largest 10 diffraction maxima, sorted by position, 2θ from 10° to 80°:
index	2θ (°)	intensity
1 0 2	27.48	26
1 1 1	31.50	100
0 1 3	31.93	46
0 0 4	32.40	27
1 1 3	39.21	47
1 0 4	39.61	18
0 2 0	41.83	24
2 0 0	45.22	19
2 1 3	56.42	18
2 2 0	63.28	15

Cell and atoms:
```
data_Pm4Si3Pt
_space_group_name_H-M_alt 'P m m 2'
_space_group_IT_number 25
_cell_length_a 4.0107
_cell_length_b 4.3195
_cell_length_c 11.0530
_cell_angle_alpha 90.00
_cell_angle_beta 90.00
_cell_angle_gamma 90.00
loop_
_space_group_symop_operation_xyz
'x,y,z'
'-x,-y,z'
'-x,y,z'
'x,-y,z'
loop_
_atom_site_label
_atom_site_type_symbol
_atom_site_fract_x
_atom_site_fract_y
_atom_site_fract_z
_atom_site_occupancy
Pm1 Pm 0.0000 0.0000 0.0000 1
Pm2 Pm 0.0000 0.5000 0.4932 1
Pm3 Pm 0.5000 0.0000 0.2769 1
Pm4 Pm 0.5000 0.5000 0.7782 1
Si1 Si 0.0000 0.0000 0.7021 1
Si2 Si 0.0000 0.5000 0.2110 1
Si3 Si 0.5000 0.0000 0.5648 1
Pt1 Pt 0.5000 0.5000 0.0595 1
```

Entry 8:
Starting from a structure optimized by DFT (GGA-PBE), the powder diffractogram of Rb2SbSe2 was simulated for a wavelength of 1.5418 Å.

Largest 10 diffraction maxima, sorted by position, 2θ from 10° to 80°:
index	2θ (°)	intensity
0 2 0	12.57	25
1 1 0	14.04	48
0 0 2	20.82	29
1 3 0	22.75	30
0 4 0	25.23	35
2 1 1	28.09	52
0 4 2	32.97	100
2 3 1	33.46	25
2 4 0	36.03	22
0 0 4	42.39	34

Cell and atoms:
```
data_Rb2SbSe2
_space_group_name_H-M_alt 'I b a m'
_space_group_IT_number 72
_space_group_name_Hall '-I 2 2c'
_cell_length_a 7.0574
_cell_length_b 14.0843
_cell_length_c 8.5314
_cell_angle_alpha 90.00
_cell_angle_beta 90.00
_cell_angle_gamma 90.00
loop_
_atom_site_label
_atom_site_type_symbol
_atom_site_fract_x
_atom_site_fract_y
_atom_site_fract_z
_atom_site_occupancy
Rb1 Rb 0.1600 0.1452 0.0000 1
Sb1 Sb 0.0000 0.5000 0.2500 1
Se1 Se 0.1707 0.3920 0.0000 1
```

Entry 9:
Starting from a structure optimized by DFT (GGA-PBE), the powder diffractogram of Zn2PbCl6 was simulated for a wavelength of 1.5418 Å.

Largest 10 diffraction maxima, sorted by position, 2θ from 10° to 80°:
index	2θ (°)	intensity
1 1 -1	15.37	95
1 1 1	17.82	56
3 1 0	21.93	100
2 2 -1	22.27	95
1 3 -1	25.60	49
2 2 1	25.71	85
0 0 2	26.82	41
3 1 -2	31.06	49
4 2 -1	31.62	35
5 3 1	46.14	57

Cell and atoms:
```
data_Zn2PbCl6
_space_group_name_H-M_alt 'C 1 2/c 1'
_space_group_IT_number 15
_cell_length_a 13.1965
_cell_length_b 12.3436
_cell_length_c 6.8128
_cell_angle_alpha 90.00
_cell_angle_beta 102.66
_cell_angle_gamma 90.00
loop_
_space_group_symop_operation_xyz
'x,y,z'
'-x,-y,-z'
'-x,y,-z+1/2'
'x,-y,z+1/2'
'x+1/2,y+1/2,z'
'-x+1/2,-y+1/2,-z'
'-x+1/2,y+1/2,-z+1/2'
'x+1/2,-y+1/2,z+1/2'
loop_
_atom_site_label
_atom_site_type_symbol
_atom_site_fract_x
_atom_site_fract_y
_atom_site_fract_z
_atom_site_occupancy
Zn1 Zn 0.1973 0.0753 0.2848 1
Pb1 Pb 0.0000 0.3724 0.2500 1
Cl1 Cl 0.1230 0.4240 0.6539 1
Cl2 Cl 0.1334 0.2285 0.1161 1
Cl3 Cl 0.1414 0.0727 0.5825 1
```

Entry 10:
Starting from a structure optimized by DFT (GGA-PBE), the powder diffractogram of CuSn2Sb3 was simulated for a wavelength of 1.5418 Å.

Largest 10 diffraction maxima, sorted by position, 2θ from 10° to 80°:
index	2θ (°)	intensity
1 3 -1	24.02	81
0 0 2	24.13	80
1 3 -3	39.78	100
2 0 2	40.03	19
3 3 -3	46.90	18
0 6 2	47.05	30
3 3 1	47.23	22
2 6 2	57.70	11
2 6 -4	63.19	13
1 9 -3	72.20	11

Cell and atoms:
```
data_CuSn2Sb3
_space_group_name_H-M_alt 'C 1 c 1'
_space_group_IT_number 9
_cell_length_a 7.8581
_cell_length_b 13.5992
_cell_length_c 7.8414
_cell_angle_alpha 90.00
_cell_angle_beta 109.96
_cell_angle_gamma 90.00
loop_
_space_group_symop_operation_xyz
'x,y,z'
'x,-y,z+1/2'
'x+1/2,y+1/2,z'
'x+1/2,-y+1/2,z+1/2'
loop_
_atom_site_label
_atom_site_type_symbol
_atom_site_fract_x
_atom_site_fract_y
_atom_site_fract_z
_atom_site_occupancy
Cu1 Cu 0.0000 0.0806 0.0000 1
Sn1 Sn 0.4768 0.0820 0.4855 1
Sn2 Sn 0.4933 0.2549 0.9855 1
Sb1 Sb 0.0892 0.0664 0.3444 1
Sb2 Sb 0.1040 0.2358 0.8777 1
Sb3 Sb 0.1505 0.4170 0.3776 1
```

Entry 11:
Starting from a structure optimized by DFT (GGA-PBE), the powder diffractogram of SnH3SCl3 was simulated for a wavelength of 1.5418 Å.

Largest 10 diffraction maxima, sorted by position, 2θ from 10° to 80°:
index	2θ (°)	intensity
0 1 0	12.10	100
0 0 2	16.05	60
1 0 0	19.15	28
0 1 -2	19.38	58
1 -1 0	19.63	46
0 1 2	20.89	58
1 1 0	25.45	57
1 -2 0	26.53	31
0 0 4	32.42	30
1 2 -2	37.30	42

Cell and atoms:
```
data_SnH3SCl3
_space_group_name_H-M_alt 'P 1'
_space_group_IT_number 1
_cell_length_a 4.8375
_cell_length_b 7.6236
_cell_length_c 11.1116
_cell_angle_alpha 93.08
_cell_angle_beta 94.28
_cell_angle_gamma 105.80
loop_
_space_group_symop_operation_xyz
'x,y,z'
loop_
_atom_site_label
_atom_site_type_symbol
_atom_site_fract_x
_atom_site_fract_y
_atom_site_fract_z
_atom_site_occupancy
Sn1 Sn 0.0000 0.0000 0.0000 1
Sn2 Sn 0.0525 0.0322 0.4865 1
H1 H 0.1434 0.4415 0.1670 1
H2 H 0.4370 0.6534 0.1043 1
H3 H 0.5181 0.4008 0.7330 1
H4 H 0.5576 0.4460 0.1767 1
H5 H 0.6721 0.4459 0.5765 1
H6 H 0.9229 0.3926 0.7130 1
S1 S 0.4058 0.5655 0.2126 1
S2 S 0.7648 0.5215 0.6975 1
Cl1 Cl 0.0348 0.8775 0.2091 1
Cl2 Cl 0.1207 0.1888 0.7191 1
Cl3 Cl 0.3317 0.8109 0.5466 1
Cl4 Cl 0.4949 0.7683 0.9435 1
Cl5 Cl 0.5093 0.2832 0.4310 1
Cl6 Cl 0.7687 0.2596 0.0762 1
```

Entry 12:
Starting from a structure optimized by DFT (GGA-PBE), the powder diffractogram of Mg2Cd2Au was simulated for a wavelength of 1.5418 Å.

Largest 10 diffraction maxima, sorted by position, 2θ from 10° to 80°:
index	2θ (°)	intensity
1 0 -1	21.13	87
0 1 1	25.67	44
1 1 1	37.85	100
0 2 0	38.46	25
2 0 -1	39.16	24
0 1 2	39.83	21
1 2 -1	44.30	26
2 1 0	47.41	17
2 2 -1	56.05	16
1 3 1	69.17	16

Cell and atoms:
```
data_Mg2Cd2Au
_space_group_name_H-M_alt 'P 1 2/m 1'
_space_group_IT_number 10
_cell_length_a 4.6011
_cell_length_b 4.6809
_cell_length_c 5.6548
_cell_angle_alpha 90.00
_cell_angle_beta 113.85
_cell_angle_gamma 90.00
loop_
_space_group_symop_operation_xyz
'x,y,z'
'-x,-y,-z'
'-x,y,-z'
'x,-y,z'
loop_
_atom_site_label
_atom_site_type_symbol
_atom_site_fract_x
_atom_site_fract_y
_atom_site_fract_z
_atom_site_occupancy
Mg1 Mg 0.1490 0.0000 0.2970 1
Cd1 Cd 0.3452 0.5000 0.6915 1
Au1 Au 0.5000 0.0000 0.0000 1
```

Entry 13:
Starting from a structure optimized by DFT (GGA-PBE), the powder diffractogram of Li2Tm3In3 was simulated for a wavelength of 1.5418 Å.

Largest 10 diffraction maxima, sorted by position, 2θ from 10° to 80°:
index	2θ (°)	intensity
1 1 1	21.57	33
1 1 3	27.16	28
1 1 4	31.30	100
1 3 0	31.49	28
1 3 1	32.04	37
0 4 0	33.33	33
0 2 5	33.59	32
1 3 3	36.15	43
2 0 0	38.64	41
1 3 4	39.44	22

Cell and atoms:
```
data_Li2Tm3In3
_space_group_name_H-M_alt 'C m c m'
_space_group_IT_number 63
_space_group_name_Hall '-C 2c 2'
_cell_length_a 4.6599
_cell_length_b 10.7516
_cell_length_c 15.3727
_cell_angle_alpha 90.00
_cell_angle_beta 90.00
_cell_angle_gamma 90.00
loop_
_atom_site_label
_atom_site_type_symbol
_atom_site_fract_x
_atom_site_fract_y
_atom_site_fract_z
_atom_site_occupancy
Li1 Li 0.0000 0.2156 0.0943 1
Tm1 Tm 0.0000 0.0844 0.6111 1
Tm2 Tm 0.0000 0.3572 0.7500 1
In1 In 0.0000 0.3472 0.2500 1
In2 In 0.0000 0.3845 0.5473 1
```